This entry pairs a crystal structure of Ba3SnP3 with its computed powder X-ray diffraction pattern. Radiation: λ = 1.5418 Å (Cu Kα). Structure: the PBE geometry in Alexandria.
Lines closer than 0.1° are merged.

Cell and atoms:
abc: 13.515 4.852 13.970
angles: 90.00 90.00 90.00
Space group Pnma (No. 62)
One atom of each set of equivalent atoms:
Ba 0.079 0.250 0.107
Ba 0.135 0.750 0.499
Ba 0.218 0.750 0.800
Sn 0.046 0.250 0.696
P 0.034 0.250 0.342
P 0.085 0.250 0.880
P 0.230 0.250 0.627

Peak list (10 most intense, 2θ = 10–90°, by intensity)
two_theta  d/Å  I/Imax  (hkl)
32.3  2.773  100  4 1 0
27.4  3.261  95  1 1 3
23.2  3.826  89  1 1 2
23.5  3.790  85  3 0 2
27.8  3.213  82  3 1 1
37.1  2.426  79  0 2 0
34.3  2.614  77  2 1 4
32.7  2.736  65  1 0 5
29.7  3.008  63  2 1 3
27.5  3.238  57  3 0 3